# Ag4PbAu8
Computed PXRD pattern, λ = 1.5418 Å (Cu Kα). Input: DFT lattice parameters and positions (PBE).
Intensities are scaled so that the largest is 100.

Atomic structure:
Lattice parameters (Å, degrees): 2.9519 4.7567 18.1939 90.00 90.00 90.00
Space group Pmm2 (No. 25)
Symmetry-distinct sites (fractional):
Ag: 0.0000 0.0000 0.0000 (multiplicity 1)
Ag: 0.0000 0.5000 0.1845 (multiplicity 1)
Ag: 0.5000 0.0000 0.4169 (multiplicity 1)
Ag: 0.5000 0.5000 0.6137 (multiplicity 1)
Pb: 0.0000 0.0000 0.7163 (multiplicity 1)
Au: 0.0000 0.0000 0.2775 (multiplicity 1)
Au: 0.0000 0.0000 0.5562 (multiplicity 1)
Au: 0.0000 0.5000 0.4681 (multiplicity 1)
Au: 0.0000 0.5000 0.8992 (multiplicity 1)
Au: 0.5000 0.0000 0.1380 (multiplicity 1)
Au: 0.5000 0.0000 0.8630 (multiplicity 1)
Au: 0.5000 0.5000 0.0440 (multiplicity 1)
Au: 0.5000 0.5000 0.3259 (multiplicity 1)

Top 10 peaks for 2θ = 5–70°, sorted by position:
h k l	2θ/deg	d_spacing	I/Imax
0 1 2	21.08	4.215	20
0 0 7	34.51	2.599	27
1 0 4	36.28	2.476	38
0 2 0	37.83	2.378	79
1 1 3	38.85	2.318	100
0 1 7	39.51	2.281	95
1 1 4	41.10	2.196	87
1 2 4	53.42	1.715	25
1 0 11	64.59	1.443	23
1 3 3	68.99	1.361	19